Entry 1:
Diffraction record for YTmIr. The powder diffractogram is calculated, not measured: it uses a structure optimized by DFT (PBE) and λ = 1.5418 Å (Cu Kα).
Peak positions follow from Bragg's law for the DFT cell and can differ from measured ones.

Cell and atoms:
```
data_YTmIr
_cell_length_a 12.1311
_cell_length_b 4.4588
_cell_length_c 11.1128
_cell_angle_alpha 90.00
_cell_angle_beta 101.37
_cell_angle_gamma 90.00
_space_group_name_H-M_alt 'C 1 2/m 1'
_space_group_IT_number 12
loop_
_space_group_symop_operation_xyz
'x,y,z'
'-x,-y,-z'
'-x,y,-z'
'x,-y,z'
'x+1/2,y+1/2,z'
'-x+1/2,-y+1/2,-z'
'-x+1/2,y+1/2,-z'
'x+1/2,-y+1/2,z'
loop_
_atom_site_label
_atom_site_type_symbol
_atom_site_fract_x
_atom_site_fract_y
_atom_site_fract_z
Y1 Y 0.0732 0.0000 0.1753
Y2 Y 0.0815 0.5000 0.6520
Tm1 Tm 0.1498 0.5000 0.9665
Tm2 Tm 0.2127 0.5000 0.3853
Ir1 Ir 0.0868 0.0000 0.4348
Ir2 Ir 0.1685 0.0000 0.8248
```

Main lines, low angle first (10° ≤ 2θ ≤ 90°):
d/Å  I_rel  (hkl)
4.481  31.8  2 0 -2
3.992  30.0  1 1 -1
2.972  56.1  3 1 -1
2.839  34.8  1 1 -3
2.758  29.3  3 1 1
2.651  57.3  1 1 3
2.482  100.0  3 1 -3
2.455  52.9  3 1 2
2.229  62.9  0 2 0
2.131  27.5  5 1 -1

=====

Entry 2:
Diffraction record for YTm4Ir2. The powder diffractogram is calculated, not measured: it uses a structure optimized by DFT (PBE) and λ = 1.5418 Å (Cu Kα).
Peak positions follow from Bragg's law for the DFT cell and can differ from measured ones.

Cell and atoms:
```
data_YTm4Ir2
_cell_length_a 7.7475
_cell_length_b 6.2359
_cell_length_c 7.8766
_cell_angle_alpha 90.00
_cell_angle_beta 112.56
_cell_angle_gamma 90.00
_space_group_name_H-M_alt 'P 1 21/m 1'
_space_group_IT_number 11
loop_
_space_group_symop_operation_xyz
'x,y,z'
'-x,-y,-z'
'-x,y+1/2,-z'
'x,-y+1/2,z'
loop_
_atom_site_label
_atom_site_type_symbol
_atom_site_fract_x
_atom_site_fract_y
_atom_site_fract_z
Y1 Y 0.0236 0.2500 0.1588
Tm1 Tm 0.2378 0.5021 0.5830
Tm2 Tm 0.3346 0.7500 0.2521
Tm3 Tm 0.3806 0.2500 0.0155
Ir1 Ir 0.0164 0.2500 0.7375
Ir2 Ir 0.4137 0.2500 0.3735
```

Main lines, low angle first (10° ≤ 2θ ≤ 90°):
d/Å  I_rel  (hkl)
7.274  64.4  0 0 1
2.811  100.0  2 0 1
2.622  46.9  1 0 -3
2.579  74.0  3 0 -1
2.477  49.7  3 0 -2
2.436  71.4  1 2 -2
2.423  66.7  2 2 -1
2.350  64.6  2 2 0
2.260  44.8  0 1 3
2.167  43.2  3 0 -3

=====

Entry 3:
Diffraction record for Y3TmIr. The powder diffractogram is calculated, not measured: it uses a structure optimized by DFT (PBE) and λ = 1.5418 Å (Cu Kα).
Peak positions follow from Bragg's law for the DFT cell and can differ from measured ones.

Cell and atoms:
```
data_Y3TmIr
_cell_length_a 7.6508
_cell_length_b 6.5117
_cell_length_c 6.1570
_cell_angle_alpha 90.00
_cell_angle_beta 90.00
_cell_angle_gamma 90.00
_space_group_name_H-M_alt 'P m n 21'
_space_group_IT_number 31
loop_
_space_group_symop_operation_xyz
'x,y,z'
'-x+1/2,-y,z+1/2'
'-x,y,z'
'x+1/2,-y,z+1/2'
loop_
_atom_site_label
_atom_site_type_symbol
_atom_site_fract_x
_atom_site_fract_y
_atom_site_fract_z
Y1 Y 0.0000 0.1542 0.0000
Y2 Y 0.2499 0.3107 0.5018
Tm1 Tm 0.0000 0.8452 0.5047
Ir1 Ir 0.0000 0.5038 0.2543
```

Main lines, low angle first (10° ≤ 2θ ≤ 90°):
d/Å  I_rel  (hkl)
4.797  46.8  1 0 1
3.862  53.0  1 1 1
3.825  23.8  2 0 0
2.907  100.0  2 1 1
2.878  44.7  0 2 1
2.783  21.5  0 1 2
2.251  53.8  2 1 2
2.237  27.9  0 2 2
1.888  35.7  2 3 0
1.743  21.7  2 1 3

=====

Entry 4:
Diffraction record for Y3Tm4Ir4. The powder diffractogram is calculated, not measured: it uses a structure optimized by DFT (PBE) and λ = 1.5418 Å (Cu Kα).
Peak positions follow from Bragg's law for the DFT cell and can differ from measured ones.

Cell and atoms:
```
data_Y3Tm4Ir4
_cell_length_a 3.8569
_cell_length_b 8.5640
_cell_length_c 15.6985
_cell_angle_alpha 90.00
_cell_angle_beta 90.00
_cell_angle_gamma 90.00
_space_group_name_H-M_alt 'I m m m'
_space_group_IT_number 71
_space_group_name_Hall '-I 2 2'
loop_
_atom_site_label
_atom_site_type_symbol
_atom_site_fract_x
_atom_site_fract_y
_atom_site_fract_z
Y1 Y 0.0000 0.0000 0.0000
Y2 Y 0.0000 0.5000 0.1020
Tm1 Tm 0.0000 0.3087 0.3327
Ir1 Ir 0.0000 0.0000 0.2445
Ir2 Ir 0.0000 0.2108 0.5000
```

Main lines, low angle first (10° ≤ 2θ ≤ 90°):
d/Å  I_rel  (hkl)
3.750  46.0  1 0 1
2.819  100.0  1 2 1
2.619  93.1  1 1 4
2.506  49.4  0 3 3
2.435  27.3  1 0 5
2.233  59.0  0 2 6
2.202  58.7  1 3 2
1.928  35.2  2 0 0
1.459  31.1  2 2 6
1.454  32.4  1 5 4

=====

Entry 5:
Diffraction record for Tm7Zn2Ir2. The powder diffractogram is calculated, not measured: it uses a structure optimized by DFT (PBE) and λ = 1.5418 Å (Cu Kα).
Peak positions follow from Bragg's law for the DFT cell and can differ from measured ones.

Cell and atoms:
```
data_Tm7Zn2Ir2
_cell_length_a 7.8691
_cell_length_b 10.5582
_cell_length_c 6.9426
_cell_angle_alpha 90.00
_cell_angle_beta 90.00
_cell_angle_gamma 90.00
_space_group_name_H-M_alt 'C m m m'
_space_group_IT_number 65
_space_group_name_Hall '-C 2 2'
loop_
_atom_site_label
_atom_site_type_symbol
_atom_site_fract_x
_atom_site_fract_y
_atom_site_fract_z
Tm1 Tm 0.0000 0.0000 0.0000
Tm2 Tm 0.0000 0.5000 0.2522
Tm3 Tm 0.2500 0.2500 0.2583
Zn1 Zn 0.1709 0.0000 0.5000
Ir1 Ir 0.0000 0.2880 0.0000
```

Main lines, low angle first (10° ≤ 2θ ≤ 90°):
d/Å  I_rel  (hkl)
6.943  29.8  0 0 1
3.423  38.3  2 0 1
3.155  42.2  2 2 0
3.041  30.8  1 1 2
2.640  53.3  0 4 0
2.603  27.8  2 0 2
2.358  44.3  1 3 2
2.335  100.0  2 2 2
1.967  21.7  4 0 0
1.450  20.0  0 4 4

=====

Entry 6:
Diffraction record for Tm6ZnIr5. The powder diffractogram is calculated, not measured: it uses a structure optimized by DFT (PBE) and λ = 1.5418 Å (Cu Kα).
Peak positions follow from Bragg's law for the DFT cell and can differ from measured ones.

Cell and atoms:
```
data_Tm6ZnIr5
_cell_length_a 4.7251
_cell_length_b 14.2001
_cell_length_c 7.0304
_cell_angle_alpha 90.00
_cell_angle_beta 90.00
_cell_angle_gamma 90.00
_space_group_name_H-M_alt 'C m m m'
_space_group_IT_number 65
_space_group_name_Hall '-C 2 2'
loop_
_atom_site_label
_atom_site_type_symbol
_atom_site_fract_x
_atom_site_fract_y
_atom_site_fract_z
Tm1 Tm 0.0000 0.0000 0.2431
Tm2 Tm 0.0000 0.3305 0.2484
Zn1 Zn 0.0000 0.5000 0.5000
Ir1 Ir 0.0000 0.1624 0.5000
Ir2 Ir 0.0000 0.1677 0.0000
Ir3 Ir 0.0000 0.5000 0.0000
```

Main lines, low angle first (10° ≤ 2θ ≤ 90°):
d/Å  I_rel  (hkl)
2.423  100.0  1 3 2
2.365  46.6  2 0 0
1.758  9.6  0 0 4
1.672  16.2  2 6 0
1.411  18.5  2 0 4
1.377  16.8  1 9 2
1.375  17.1  3 3 2
1.211  11.2  2 6 4
1.181  2.6  4 0 0
1.106  8.8  1 3 6